No. 1
La2Ho2CBr2Cl3: calculated powder diffractogram (Cu Kα X-rays), based on a GGA-PBE-relaxed structure.
No peak broadening, texture or thermal motion is included.

Principal peaks in the range 2θ from 10° to 80°, low angle first:
| 2θ (°) | I (rel.) |
| --- | --- |
| 10.32 | 38 |
| 11.44 | 39 |
| 13.35 | 25 |
| 28.19 | 20 |
| 28.94 | 31 |
| 31.31 | 59 |
| 32.01 | 36 |
| 32.50 | 100 |
| 38.93 | 21 |
| 45.32 | 40 |
| 46.21 | 35 |
| 47.84 | 21 |

Cell and atoms:
Cell lengths 9.058, 9.058, 7.994 Å; angles 104.27, 104.27, 24.24 degrees
Positions (direct):
La  0.151  0.151  0.088
La  0.849  0.849  0.912
Ho  0.498  0.498  0.206
Ho  0.502  0.502  0.794
C  0.000  0.000  0.000
Br  0.340  0.340  0.620
Br  0.660  0.660  0.380
Cl  0.000  0.000  0.500
Cl  0.338  0.338  0.181
Cl  0.662  0.662  0.819

No. 2
Nd2Ho2CBr3Cl2: calculated powder diffractogram (Cu Kα X-rays), based on a GGA-PBE-relaxed structure.
No peak broadening, texture or thermal motion is included.

Principal peaks in the range 2θ from 10° to 80°, low angle first:
| 2θ (°) | I (rel.) |
| --- | --- |
| 10.44 | 44 |
| 11.22 | 35 |
| 29.01 | 32 |
| 31.69 | 52 |
| 31.91 | 38 |
| 32.22 | 100 |
| 35.62 | 20 |
| 38.22 | 22 |
| 45.69 | 31 |
| 45.95 | 32 |
| 47.76 | 19 |
| 58.45 | 18 |

Cell and atoms:
Cell lengths 8.931, 8.931, 8.122 Å; angles 103.58, 103.58, 24.63 degrees
Positions (direct):
Nd  0.148  0.148  0.078
Nd  0.852  0.852  0.922
Ho  0.499  0.499  0.201
Ho  0.501  0.501  0.799
C  0.000  0.000  0.000
Br  0.000  0.000  0.500
Br  0.336  0.336  0.640
Br  0.664  0.664  0.360
Cl  0.335  0.335  0.176
Cl  0.665  0.665  0.824

No. 3
Nd2Ho2CBr3Cl2: calculated powder diffractogram (Cu Kα X-rays), based on a GGA-PBE-relaxed structure.
No peak broadening, texture or thermal motion is included.

Principal peaks in the range 2θ from 10° to 80°, low angle first:
| 2θ (°) | I (rel.) |
| --- | --- |
| 10.41 | 27 |
| 10.68 | 62 |
| 21.35 | 27 |
| 28.68 | 19 |
| 31.18 | 35 |
| 31.28 | 100 |
| 31.59 | 38 |
| 35.10 | 24 |
| 42.63 | 20 |
| 44.58 | 24 |
| 45.52 | 25 |
| 46.90 | 18 |

Cell and atoms:
Cell lengths 8.913, 8.913, 8.482 Å; angles 102.12, 102.12, 25.10 degrees
Positions (direct):
Nd  0.003  0.003  0.296
Nd  0.997  0.997  0.704
Ho  0.359  0.359  0.430
Ho  0.641  0.641  0.570
C  0.500  0.500  0.500
Br  0.172  0.172  0.821
Br  0.500  0.500  0.000
Br  0.828  0.828  0.179
Cl  0.175  0.175  0.366
Cl  0.825  0.825  0.634

No. 4
Pr2Ho2CBr3Cl2: calculated powder diffractogram (Cu Kα X-rays), based on a GGA-PBE-relaxed structure.
No peak broadening, texture or thermal motion is included.

Principal peaks in the range 2θ from 10° to 80°, low angle first:
| 2θ (°) | I (rel.) |
| --- | --- |
| 10.17 | 31 |
| 10.67 | 100 |
| 30.83 | 34 |
| 30.94 | 17 |
| 31.15 | 95 |
| 34.45 | 21 |
| 34.58 | 20 |
| 39.38 | 19 |
| 42.50 | 18 |
| 44.20 | 21 |
| 44.59 | 21 |
| 46.70 | 17 |

Cell and atoms:
Cell lengths 9.142, 9.142, 8.508 Å; angles 102.75, 102.75, 24.57 degrees
Positions (direct):
Pr  0.000  0.000  0.207
Pr  0.000  0.000  0.793
Ho  0.363  0.363  0.932
Ho  0.637  0.637  0.068
C  0.500  0.500  0.000
Br  0.175  0.175  0.846
Br  0.500  0.500  0.500
Br  0.825  0.825  0.154
Cl  0.166  0.166  0.295
Cl  0.834  0.834  0.705

No. 5
Pr2Ho2CBr3Cl2: calculated powder diffractogram (Cu Kα X-rays), based on a GGA-PBE-relaxed structure.
No peak broadening, texture or thermal motion is included.

Principal peaks in the range 2θ from 10° to 80°, low angle first:
| 2θ (°) | I (rel.) |
| --- | --- |
| 10.18 | 55 |
| 11.26 | 63 |
| 28.84 | 20 |
| 30.87 | 54 |
| 31.76 | 25 |
| 32.29 | 100 |
| 34.76 | 21 |
| 38.26 | 17 |
| 44.94 | 29 |
| 45.61 | 33 |
| 47.84 | 19 |
| 58.02 | 17 |

Cell and atoms:
Cell lengths 9.164, 9.164, 8.104 Å; angles 103.91, 103.91, 23.95 degrees
Positions (direct):
Pr  0.146  0.146  0.083
Pr  0.854  0.854  0.917
Ho  0.500  0.500  0.202
Ho  0.500  0.500  0.798
C  0.000  0.000  0.000
Br  0.000  0.000  0.500
Br  0.335  0.335  0.194
Br  0.665  0.665  0.806
Cl  0.346  0.346  0.652
Cl  0.654  0.654  0.348

No. 6
Ho2Sc2CBrCl4: calculated powder diffractogram (Cu Kα X-rays), based on a GGA-PBE-relaxed structure.
No peak broadening, texture or thermal motion is included.

Principal peaks in the range 2θ from 10° to 80°, low angle first:
| 2θ (°) | I (rel.) |
| --- | --- |
| 10.99 | 100 |
| 11.28 | 18 |
| 22.08 | 14 |
| 25.08 | 18 |
| 33.17 | 59 |
| 33.38 | 26 |
| 35.14 | 10 |
| 37.28 | 13 |
| 45.01 | 10 |
| 47.53 | 14 |
| 48.01 | 15 |
| 61.58 | 11 |

Cell and atoms:
Cell lengths 8.472, 8.472, 8.059 Å; angles 102.97, 102.97, 24.81 degrees
Positions (direct):
Ho  0.001  0.001  0.299
Ho  0.999  0.999  0.701
Sc  0.361  0.361  0.428
Sc  0.639  0.639  0.572
C  0.500  0.500  0.500
Br  0.500  0.500  0.000
Cl  0.166  0.166  0.806
Cl  0.172  0.172  0.362
Cl  0.828  0.828  0.638
Cl  0.834  0.834  0.194

No. 7
Y2Ho2CBrCl4: calculated powder diffractogram (Cu Kα X-rays), based on a GGA-PBE-relaxed structure.
No peak broadening, texture or thermal motion is included.

Principal peaks in the range 2θ from 10° to 80°, low angle first:
| 2θ (°) | I (rel.) |
| --- | --- |
| 10.71 | 15 |
| 11.27 | 69 |
| 17.30 | 20 |
| 21.86 | 23 |
| 29.55 | 18 |
| 32.39 | 27 |
| 32.56 | 100 |
| 36.06 | 19 |
| 46.60 | 18 |
| 46.79 | 17 |
| 48.49 | 12 |
| 59.62 | 12 |

Cell and atoms:
Cell lengths 8.698, 8.698, 8.070 Å; angles 103.11, 103.11, 24.93 degrees
Positions (direct):
Y  0.001  0.001  0.298
Y  0.999  0.999  0.702
Ho  0.356  0.356  0.423
Ho  0.644  0.644  0.577
C  0.500  0.500  0.500
Br  0.500  0.500  0.000
Cl  0.165  0.165  0.822
Cl  0.172  0.172  0.349
Cl  0.828  0.828  0.651
Cl  0.835  0.835  0.178